Simulated X-ray powder pattern
Compound: LiAl5Ag6
Radiation: Cu Kα X-rays
Structure: a cell relaxed with PBE
No peak broadening, texture or thermal motion is included.

Principal peaks in the range 2θ from 15° to 90°, in order of rising 2θ:
27.6 deg, d = 3.235 Å, rel. 29
28.1 deg, d = 3.176 Å, rel. 55
39.8 deg, d = 2.266 Å, rel. 100
40.0 deg, d = 2.255 Å, rel. 25
40.3 deg, d = 2.237 Å, rel. 24
58.1 deg, d = 1.588 Å, rel. 16

Atomic structure:
a b c (Å): 7.8235 7.8235 4.4731
angles (deg): 106.57 106.57 119.69
Fractional coordinates of all 12 atoms:
Li 0.0000 0.0000 0.0000
Al 0.1635 0.8365 0.5000
Al 0.3338 0.6662 0.0000
Al 0.5000 0.5000 0.5000
Al 0.6662 0.3338 0.0000
Al 0.8365 0.1635 0.5000
Ag 0.0814 0.4157 0.2484
Ag 0.2480 0.2480 0.7480
Ag 0.4157 0.0814 0.2484
Ag 0.5843 0.9186 0.7516
Ag 0.7520 0.7520 0.2520
Ag 0.9186 0.5843 0.7516

---

Simulated X-ray powder pattern
Compound: Ho2Zn3Ni2
Radiation: Cu Kα X-rays
Structure: a cell relaxed with PBE
No peak broadening, texture or thermal motion is included.

Principal peaks in the range 2θ from 15° to 90°, in order of rising 2θ:
28.8 deg, d = 3.097 Å, rel. 54
35.6 deg, d = 2.521 Å, rel. 100
36.3 deg, d = 2.477 Å, rel. 96
39.5 deg, d = 2.283 Å, rel. 31
41.9 deg, d = 2.157 Å, rel. 48
43.5 deg, d = 2.083 Å, rel. 52

Atomic structure:
a b c (Å): 5.2088 5.2088 6.3584
angles (deg): 103.01 103.01 47.13
Fractional coordinates of all 7 atoms:
Ho 0.1184 0.1184 0.3490
Ho 0.8816 0.8816 0.6510
Zn 0.2078 0.2078 0.8753
Zn 0.5000 0.5000 0.0000
Zn 0.7922 0.7922 0.1247
Ni 0.4074 0.4074 0.3291
Ni 0.5926 0.5926 0.6709

---

Simulated X-ray powder pattern
Compound: Rb2Np3PbSe8
Radiation: Cu Kα X-rays
Structure: a cell relaxed with PBE
No peak broadening, texture or thermal motion is included.

Principal peaks in the range 2θ from 15° to 90°, in order of rising 2θ:
23.6 deg, d = 3.776 Å, rel. 72
24.5 deg, d = 3.631 Å, rel. 68
28.2 deg, d = 3.163 Å, rel. 100
35.1 deg, d = 2.556 Å, rel. 82
37.9 deg, d = 2.376 Å, rel. 69
42.7 deg, d = 2.119 Å, rel. 85

Atomic structure:
a b c (Å): 9.6441 9.6441 9.6441
angles (deg): 52.14 52.14 52.14
Fractional coordinates of all 14 atoms:
Rb 0.0000 0.0000 0.0000
Rb 0.3599 0.3599 0.3599
Np 0.3606 0.3606 0.8663
Np 0.3606 0.8663 0.3606
Np 0.8663 0.3606 0.3606
Pb 0.7515 0.7515 0.7515
Se 0.1017 0.1017 0.5601
Se 0.1017 0.5601 0.1017
Se 0.1344 0.1344 0.1344
Se 0.1496 0.6240 0.6240
Se 0.5601 0.1017 0.1017
Se 0.5878 0.5878 0.5878
Se 0.6240 0.1496 0.6240
Se 0.6240 0.6240 0.1496

---

Simulated X-ray powder pattern
Compound: TbPr2Te2Se2
Radiation: Cu Kα X-rays
Structure: a cell relaxed with PBE
No peak broadening, texture or thermal motion is included.

Principal peaks in the range 2θ from 15° to 90°, in order of rising 2θ:
23.6 deg, d = 3.768 Å, rel. 72
32.5 deg, d = 2.757 Å, rel. 100
33.6 deg, d = 2.664 Å, rel. 70
47.5 deg, d = 1.916 Å, rel. 57
48.3 deg, d = 1.883 Å, rel. 25
59.4 deg, d = 1.555 Å, rel. 21

Atomic structure:
a b c (Å): 8.8946 8.8946 8.8946
angles (deg): 145.15 145.15 50.11
Fractional coordinates of all 7 atoms:
Tb 0.0000 0.0000 0.0000
Pr 0.3818 0.3818 0.0000
Pr 0.6182 0.6182 0.0000
Te 0.1867 0.1867 0.0000
Te 0.8133 0.8133 0.0000
Se 0.0000 0.5000 0.5000
Se 0.5000 0.0000 0.5000

---

Simulated X-ray powder pattern
Compound: CeNp2TaO8
Radiation: Cu Kα X-rays
Structure: a cell relaxed with PBE
No peak broadening, texture or thermal motion is included.

Principal peaks in the range 2θ from 15° to 90°, in order of rising 2θ:
24.8 deg, d = 3.593 Å, rel. 100
31.2 deg, d = 2.866 Å, rel. 94
35.3 deg, d = 2.541 Å, rel. 29
47.8 deg, d = 1.901 Å, rel. 71
57.3 deg, d = 1.607 Å, rel. 18
60.9 deg, d = 1.522 Å, rel. 20

Atomic structure:
a b c (Å): 5.0817 5.0817 6.9417
angles (deg): 90.00 90.00 90.03
Fractional coordinates of all 12 atoms:
Ce 0.0000 0.0000 0.0000
Np 0.5000 0.5000 0.2582
Np 0.5000 0.5000 0.7418
Ta 0.0000 0.0000 0.5000
O 0.1863 0.8137 0.2825
O 0.1863 0.8137 0.7175
O 0.2833 0.2833 0.5000
O 0.3180 0.3180 0.0000
O 0.6820 0.6820 0.0000
O 0.7167 0.7167 0.5000
O 0.8137 0.1863 0.2825
O 0.8137 0.1863 0.7175

---

Simulated X-ray powder pattern
Compound: Ta6TiTl2O18
Radiation: Cu Kα X-rays
Structure: a cell relaxed with PBE
No peak broadening, texture or thermal motion is included.

Principal peaks in the range 2θ from 15° to 90°, in order of rising 2θ:
25.3 deg, d = 3.526 Å, rel. 32
27.1 deg, d = 3.296 Å, rel. 23
29.1 deg, d = 3.066 Å, rel. 100
34.7 deg, d = 2.586 Å, rel. 21
47.8 deg, d = 1.903 Å, rel. 27
57.0 deg, d = 1.617 Å, rel. 18

Atomic structure:
a b c (Å): 7.6119 7.6119 8.3448
angles (deg): 90.00 90.00 60.00
Fractional coordinates of all 27 atoms:
Ta 0.0838 0.0838 0.3472
Ta 0.0838 0.5814 0.3471
Ta 0.4185 0.4140 0.6528
Ta 0.4186 0.9162 0.6529
Ta 0.5860 0.5815 0.3472
Ta 0.9162 0.9162 0.6528
Ti 0.2511 0.7489 0.0000
Tl 0.5864 0.0806 0.2013
Tl 0.9194 0.4136 0.7987
O 0.0090 0.8701 0.8624
O 0.1089 0.0332 0.6010
O 0.1089 0.6068 0.6010
O 0.1300 0.6280 0.1376
O 0.1299 0.9910 0.1376
O 0.1504 0.2993 0.3385
O 0.3516 0.1986 0.6615
O 0.3721 0.5069 0.8623
O 0.3720 0.8700 0.8624
O 0.3931 0.4648 0.3990
O 0.3932 0.8911 0.3990
O 0.4931 0.6279 0.1377
O 0.5352 0.6069 0.6010
O 0.7007 0.1985 0.6613
O 0.7007 0.8496 0.6615
O 0.8015 0.2993 0.3387
O 0.8014 0.6484 0.3385
O 0.9668 0.8911 0.3990

---

Simulated X-ray powder pattern
Compound: Na2B3C
Radiation: Cu Kα X-rays
Structure: a cell relaxed with PBE
No peak broadening, texture or thermal motion is included.

Principal peaks in the range 2θ from 15° to 90°, in order of rising 2θ:
36.0 deg, d = 2.495 Å, rel. 18
40.7 deg, d = 2.218 Å, rel. 52
41.9 deg, d = 2.156 Å, rel. 100
42.1 deg, d = 2.145 Å, rel. 38
62.9 deg, d = 1.477 Å, rel. 18
78.7 deg, d = 1.216 Å, rel. 17

Atomic structure:
a b c (Å): 9.0754 9.0754 10.3649
angles (deg): 106.62 106.62 18.04
Fractional coordinates of all 24 atoms:
Na 0.0000 0.0000 0.0000
Na 0.9996 0.9996 0.4981
Na 0.2499 0.2499 0.1239
Na 0.2527 0.2527 0.6255
Na 0.4983 0.4983 0.7479
Na 0.4988 0.4988 0.2481
Na 0.7500 0.7500 0.8741
Na 0.7518 0.7518 0.3746
B 0.1245 0.1245 0.8891
B 0.1252 0.1252 0.2439
B 0.1260 0.1260 0.7267
B 0.3752 0.3752 0.0271
B 0.3752 0.3752 0.5051
B 0.6243 0.6243 0.4667
B 0.6245 0.6245 0.9864
B 0.6255 0.6255 0.1481
B 0.6264 0.6264 0.6335
B 0.8754 0.8754 0.2666
B 0.8749 0.8749 0.6045
B 0.8751 0.8751 0.7864
C 0.1234 0.1234 0.3940
C 0.3751 0.3751 0.8628
C 0.3756 0.3756 0.3451
C 0.8753 0.8753 0.1041

---

Simulated X-ray powder pattern
Compound: Pu3Ga9Ag2
Radiation: Cu Kα X-rays
Structure: a cell relaxed with PBE
No peak broadening, texture or thermal motion is included.

Principal peaks in the range 2θ from 15° to 90°, in order of rising 2θ:
22.2 deg, d = 4.005 Å, rel. 31
34.6 deg, d = 2.593 Å, rel. 100
35.0 deg, d = 2.564 Å, rel. 31
35.2 deg, d = 2.551 Å, rel. 30
35.5 deg, d = 2.532 Å, rel. 40
40.8 deg, d = 2.211 Å, rel. 39

Atomic structure:
a b c (Å): 8.3600 8.3600 8.3600
angles (deg): 149.32 111.26 77.14
Fractional coordinates of all 14 atoms:
Pu 0.0000 0.0000 0.0000
Pu 0.2933 0.2933 0.0000
Pu 0.7067 0.7067 0.0000
Ga 0.0212 0.6555 0.3657
Ga 0.1356 0.8541 0.2815
Ga 0.2898 0.6555 0.6343
Ga 0.4275 0.1459 0.2815
Ga 0.5000 0.0000 0.5000
Ga 0.5725 0.8541 0.7185
Ga 0.7102 0.3445 0.3657
Ga 0.8644 0.1459 0.7185
Ga 0.9788 0.3445 0.6343
Ag 0.3179 0.5000 0.8179
Ag 0.6821 0.5000 0.1821